Record 1
Structure and computed PXRD pattern of Ac6La5Dy2 (a structure optimized by DFT (PBE); Cu Kα (λ = 1.5418 Å)).
Peak positions follow from Bragg's law for the DFT cell and can differ from measured ones.

Top 8 peaks for 2θ from 5° to 70°, low angle first:
| two_theta | d [Å] | I/Imax |
| --- | --- | --- |
| 25.7 | 3.460 | 693 |
| 25.9 | 3.444 | 557 |
| 29.5 | 3.025 | 799 |
| 29.7 | 3.004 | 854 |
| 30.4 | 2.941 | 1000 |
| 32.0 | 2.800 | 429 |
| 33.5 | 2.677 | 404 |
| 33.9 | 2.645 | 601 |

Atomic structure:
Unit cell a=11.4919 b=24.1964 c=3.7816 alpha=90.00 beta=90.00 gamma=90.00
Element x y z (fractional)
Ac 0.0208 0.1130 0.0000
Ac 0.1449 0.3837 0.0000
Ac 0.1654 0.6355 0.5000
Ac 0.3346 0.1355 0.5000
Ac 0.3551 0.8837 0.0000
Ac 0.4792 0.6130 0.0000
Ac 0.5208 0.3870 0.0000
Ac 0.6449 0.1163 0.0000
Ac 0.6654 0.8645 0.5000
Ac 0.8346 0.3645 0.5000
Ac 0.8551 0.6163 0.0000
Ac 0.9792 0.8870 0.0000
La 0.0000 0.5000 0.5000
La 0.0845 0.2481 0.5000
La 0.1655 0.9965 0.5000
La 0.3345 0.4965 0.5000
La 0.4155 0.7481 0.5000
La 0.5000 0.0000 0.5000
La 0.5845 0.2519 0.5000
La 0.6655 0.5035 0.5000
La 0.8345 0.0035 0.5000
La 0.9155 0.7519 0.5000
Dy 0.1656 0.7674 0.0000
Dy 0.3344 0.2674 0.0000
Dy 0.6656 0.7326 0.0000
Dy 0.8344 0.2326 0.0000


Record 2
Structure and computed PXRD pattern of PrH5Ru (a structure optimized by DFT (PBE); Cu Kα (λ = 1.5418 Å)).
Peak positions follow from Bragg's law for the DFT cell and can differ from measured ones.

Top 8 peaks for 2θ from 5° to 70°, low angle first:
| two_theta | d [Å] | I/Imax |
| --- | --- | --- |
| 25.9 | 3.439 | 724 |
| 29.9 | 2.985 | 1000 |
| 35.1 | 2.556 | 318 |
| 40.0 | 2.254 | 908 |
| 44.2 | 2.051 | 356 |
| 62.3 | 1.490 | 244 |
| 66.3 | 1.410 | 202 |
| 68.5 | 1.369 | 189 |

Atomic structure:
Unit cell a=4.6627 b=4.6627 c=4.6627 alpha=133.55 beta=113.53 gamma=84.94
Element x y z (fractional)
Pr 0.0000 0.0000 0.0000
H 0.0876 0.3338 0.7538
H 0.4201 0.6662 0.7538
H 0.5000 0.0000 0.5000
H 0.5799 0.3338 0.2462
H 0.9124 0.6662 0.2462
Ru 0.5000 0.5000 0.0000


Record 3
Structure and computed PXRD pattern of Pm5Ho2Ru4 (a structure optimized by DFT (PBE); Cu Kα (λ = 1.5418 Å)).
Peak positions follow from Bragg's law for the DFT cell and can differ from measured ones.

Top 8 peaks for 2θ from 5° to 70°, low angle first:
| two_theta | d [Å] | I/Imax |
| --- | --- | --- |
| 26.8 | 3.321 | 297 |
| 33.1 | 2.705 | 171 |
| 35.3 | 2.543 | 1000 |
| 36.7 | 2.447 | 444 |
| 38.1 | 2.362 | 646 |
| 38.4 | 2.345 | 503 |
| 54.2 | 1.693 | 289 |
| 67.4 | 1.389 | 187 |

Atomic structure:
Unit cell a=12.6910 b=12.6910 c=4.9180 alpha=95.98 beta=95.98 gamma=21.30
Element x y z (fractional)
Pm 0.0000 0.0000 0.0000
Pm 0.1155 0.1155 0.6823
Pm 0.2554 0.2554 0.7530
Pm 0.7446 0.7446 0.2470
Pm 0.8845 0.8845 0.3177
Ho 0.3959 0.3959 0.8084
Ho 0.6041 0.6041 0.1916
Ru 0.1788 0.1788 0.2167
Ru 0.4578 0.4578 0.3254
Ru 0.5422 0.5422 0.6746
Ru 0.8212 0.8212 0.7833


Record 4
Structure and computed PXRD pattern of PmCdH8Ir2 (a structure optimized by DFT (PBE); Cu Kα (λ = 1.5418 Å)).
Peak positions follow from Bragg's law for the DFT cell and can differ from measured ones.

Top 8 peaks for 2θ from 5° to 70°, low angle first:
| two_theta | d [Å] | I/Imax |
| --- | --- | --- |
| 29.3 | 3.046 | 1000 |
| 33.1 | 2.708 | 143 |
| 37.2 | 2.419 | 633 |
| 46.3 | 1.960 | 165 |
| 48.0 | 1.894 | 260 |
| 60.6 | 1.528 | 114 |
| 62.3 | 1.491 | 238 |
| 67.0 | 1.396 | 115 |

Atomic structure:
Unit cell a=6.5406 b=6.5406 c=6.5406 alpha=43.41 beta=43.41 gamma=43.41
Element x y z (fractional)
Pm 0.0000 0.0000 0.0000
Cd 0.5000 0.5000 0.5000
H 0.0776 0.8308 0.4029
H 0.1692 0.5971 0.9224
H 0.3195 0.3195 0.3195
H 0.4029 0.0776 0.8308
H 0.5971 0.9224 0.1692
H 0.6805 0.6805 0.6805
H 0.8308 0.4029 0.0776
H 0.9224 0.1692 0.5971
Ir 0.2289 0.2289 0.2289
Ir 0.7711 0.7711 0.7711


Record 5
Structure and computed PXRD pattern of PuCd2Sb2 (a structure optimized by DFT (PBE); Cu Kα (λ = 1.5418 Å)).
Peak positions follow from Bragg's law for the DFT cell and can differ from measured ones.

Top 8 peaks for 2θ from 5° to 70°, low angle first:
| two_theta | d [Å] | I/Imax |
| --- | --- | --- |
| 33.7 | 2.662 | 1000 |
| 35.1 | 2.555 | 177 |
| 40.8 | 2.209 | 185 |
| 41.0 | 2.202 | 157 |
| 54.9 | 1.671 | 97 |
| 55.1 | 1.668 | 97 |
| 59.3 | 1.560 | 122 |
| 69.8 | 1.347 | 118 |

Atomic structure:
Unit cell a=12.9644 b=12.9644 c=4.4176 alpha=90.00 beta=90.00 gamma=160.44
Element x y z (fractional)
Pu 0.1550 0.8450 0.7500
Pu 0.8450 0.1550 0.2500
Cd 0.0418 0.9582 0.2500
Cd 0.4547 0.5453 0.2500
Cd 0.5453 0.4547 0.7500
Cd 0.9582 0.0418 0.7500
Sb 0.2500 0.7500 0.2500
Sb 0.3680 0.6320 0.7500
Sb 0.6320 0.3680 0.2500
Sb 0.7500 0.2500 0.7500


Record 6
Structure and computed PXRD pattern of CsRbNiBr6 (a structure optimized by DFT (PBE); Cu Kα (λ = 1.5418 Å)).
Peak positions follow from Bragg's law for the DFT cell and can differ from measured ones.

Top 8 peaks for 2θ from 5° to 70°, low angle first:
| two_theta | d [Å] | I/Imax |
| --- | --- | --- |
| 14.3 | 6.192 | 300 |
| 23.5 | 3.792 | 114 |
| 28.8 | 3.096 | 1000 |
| 33.4 | 2.681 | 726 |
| 43.9 | 2.064 | 149 |
| 48.0 | 1.896 | 393 |
| 56.9 | 1.617 | 293 |
| 59.7 | 1.548 | 148 |

Atomic structure:
Unit cell a=7.5819 b=7.5819 c=7.5778 alpha=119.99 beta=119.99 gamma=89.93
Element x y z (fractional)
Cs 0.0000 0.0000 0.0000
Rb 0.5001 0.4999 0.0000
Ni 0.2502 0.7498 0.5000
Br 0.0244 0.5236 0.4995
Br 0.0242 0.9758 0.5000
Br 0.0254 0.5245 0.0484
Br 0.4762 0.5238 0.5000
Br 0.4755 0.9746 0.9516
Br 0.4764 0.9756 0.5005


Record 7
Structure and computed PXRD pattern of Ag3BrCl2 (a structure optimized by DFT (PBE); Cu Kα (λ = 1.5418 Å)).
Peak positions follow from Bragg's law for the DFT cell and can differ from measured ones.

Top 8 peaks for 2θ from 5° to 70°, low angle first:
| two_theta | d [Å] | I/Imax |
| --- | --- | --- |
| 13.5 | 6.576 | 874 |
| 25.8 | 3.459 | 445 |
| 26.6 | 3.345 | 1000 |
| 31.4 | 2.852 | 936 |
| 37.6 | 2.391 | 516 |
| 37.7 | 2.383 | 611 |
| 40.1 | 2.248 | 706 |
| 41.6 | 2.169 | 509 |

Atomic structure:
Unit cell a=4.3385 b=13.1519 c=5.7301 alpha=90.00 beta=90.00 gamma=90.00
Element x y z (fractional)
Ag 0.2500 0.1308 0.0510
Ag 0.2500 0.3692 0.0510
Ag 0.2500 0.7500 0.6481
Ag 0.7500 0.2500 0.3519
Ag 0.7500 0.6308 0.9490
Ag 0.7500 0.8692 0.9490
Br 0.2500 0.2500 0.6776
Br 0.7500 0.7500 0.3224
Cl 0.2500 0.5634 0.7586
Cl 0.2500 0.9366 0.7586
Cl 0.7500 0.0634 0.2414
Cl 0.7500 0.4366 0.2414


Record 8
Structure and computed PXRD pattern of TmCu2B2O6 (a structure optimized by DFT (PBE); Cu Kα (λ = 1.5418 Å)).
Peak positions follow from Bragg's law for the DFT cell and can differ from measured ones.

Top 8 peaks for 2θ from 5° to 70°, low angle first:
| two_theta | d [Å] | I/Imax |
| --- | --- | --- |
| 14.6 | 6.072 | 506 |
| 25.0 | 3.562 | 1000 |
| 35.4 | 2.539 | 452 |
| 35.9 | 2.498 | 699 |
| 38.4 | 2.343 | 247 |
| 43.8 | 2.068 | 310 |
| 51.3 | 1.781 | 228 |
| 57.5 | 1.603 | 253 |

Atomic structure:
Unit cell a=5.0782 b=5.0782 c=6.0716 alpha=90.00 beta=90.00 gamma=120.00
Element x y z (fractional)
Tm 0.0000 0.0000 0.0000
Cu 0.3333 0.6667 0.2661
Cu 0.6667 0.3333 0.7339
B 0.3333 0.6667 0.7742
B 0.6667 0.3333 0.2258
O 0.0711 0.6865 0.7780
O 0.3135 0.3846 0.7780
O 0.3846 0.0711 0.2220
O 0.6154 0.9289 0.7780
O 0.6865 0.6154 0.2220
O 0.9289 0.3135 0.2220